1.
Structure and simulated powder XRD pattern of Pr12Er7In (the GGA-PBE geometry in Alexandria; Cu Kα (weighted mean of Kα1 and Kα2)).

Largest 10 diffraction maxima, by angle, 10° ≤ 2θ ≤ 90°:
(2 -1 3), 2θ = 28.6°, d 3.122, I 54; (4 -1 2), 2θ = 30.1°, d 2.964, I 30; (5 -2 1), 2θ = 31.1°, d 2.880, I 16; (1 4 0), 2θ = 31.4°, d 2.853, I 100; (0 3 3), 2θ = 33.2°, d 2.696, I 49; (2 3 2), 2θ = 34.6°, d 2.591, I 13; (4 -2 3), 2θ = 35.4°, d 2.539, I 37; (8 -5 1), 2θ = 49.6°, d 1.838, I 14; (5 2 3), 2θ = 51.1°, d 1.787, I 18; (5 -1 6), 2θ = 63.3°, d 1.470, I 17

Structural model:
Unit cell a=15.0960 b=15.0960 c=10.2932 alpha=90.00 beta=90.00 gamma=120.00
Space group R-3 (No. 148, hexagonal axes)
One atom of each set of equivalent atoms:
Pr  0.0408  0.1867  0.2498 (multiplicity 18)
Pr  0.0448  0.2526  0.5738 (multiplicity 18)
Er  0.0000  0.0000  0.5000 (multiplicity 3)
Er  0.0665  0.2400  0.9282 (multiplicity 18)
In  0.0000  0.0000  0.0000 (multiplicity 3)

2.
Structure and simulated powder XRD pattern of DyHo12Tm6 (the GGA-PBE geometry in Alexandria; Cu Kα (weighted mean of Kα1 and Kα2)).

Largest 10 diffraction maxima, by angle, 10° ≤ 2θ ≤ 90°:
(1 3 1), 2θ = 26.5°, d 3.362, I 80; (1 1 3), 2θ = 29.4°, d 3.034, I 68; (3 2 1), 2θ = 31.6°, d 2.833, I 100; (0 3 3), 2θ = 34.1°, d 2.628, I 42; (2 3 2), 2θ = 35.3°, d 2.542, I 91; (2 4 1), 2θ = 38.1°, d 2.364, I 29; (0 2 4), 2θ = 38.7°, d 2.325, I 36; (5 0 2), 2θ = 39.4°, d 2.288, I 56; (5 5 0), 2θ = 62.5°, d 1.487, I 31; (3 5 4), 2θ = 62.8°, d 1.480, I 26

Structural model:
Unit cell a=14.8701 b=14.8701 c=9.9707 alpha=90.00 beta=90.00 gamma=120.00
Space group R-3m (No. 166, hexagonal axes)
One atom of each set of equivalent atoms:
Dy  0.0000  0.0000  0.0000 (multiplicity 3)
Ho  0.0000  0.3888  0.5000 (multiplicity 18)
Ho  0.0735  0.1470  0.2841 (multiplicity 18)
Tm  0.0569  0.5284  0.2142 (multiplicity 18)

3.
Structure and simulated powder XRD pattern of YTmHg4 (the GGA-PBE geometry in Alexandria; Cu Kα (weighted mean of Kα1 and Kα2)).

Largest 10 diffraction maxima, by angle, 10° ≤ 2θ ≤ 90°:
(0 1 3), 2θ = 29.4°, d 3.042, I 12; (1 1 3), 2θ = 34.2°, d 2.622, I 100; (2 0 0), 2θ = 34.7°, d 2.588, I 28; (0 0 6), 2θ = 37.2°, d 2.420, I 13; (1 0 6), 2θ = 41.2°, d 2.192, I 15; (0 2 0), 2θ = 46.5°, d 1.955, I 12; (2 0 6), 2θ = 51.7°, d 1.767, I 10; (2 2 0), 2θ = 59.2°, d 1.560, I 12; (3 1 3), 2θ = 61.8°, d 1.501, I 18; (2 1 9), 2θ = 73.3°, d 1.292, I 10

Structural model:
Unit cell a=5.176 b=3.910 c=14.518 alpha=90.00 beta=90.00 gamma=90.00
Space group Amm2 (No. 38)
One atom of each set of equivalent atoms:
Y  0.000  0.000  0.000 (multiplicity 2)
Tm  0.500  0.000  0.793 (multiplicity 2)
Hg  0.000  0.000  0.331 (multiplicity 2)
Hg  0.000  0.000  0.667 (multiplicity 2)
Hg  0.500  0.000  0.129 (multiplicity 2)
Hg  0.500  0.000  0.460 (multiplicity 2)

4.
Structure and simulated powder XRD pattern of Pa5GeSe4 (the GGA-PBE geometry in Alexandria; Cu Kα (weighted mean of Kα1 and Kα2)).

Largest 10 diffraction maxima, by angle, 10° ≤ 2θ ≤ 90°:
(1 1 0), 2θ = 26.1°, d 3.418, I 23; (0 1 5), 2θ = 27.5°, d 3.247, I 21; (1 0 5), 2θ = 31.0°, d 2.883, I 100; (2 0 0), 2θ = 42.6°, d 2.121, I 14; (1 2 5), 2θ = 44.4°, d 2.039, I 50; (0 0 10), 2θ = 46.2°, d 1.963, I 11; (2 2 0), 2θ = 53.6°, d 1.709, I 15; (0 2 10), 2θ = 56.7°, d 1.623, I 12; (1 4 5), 2θ = 73.4°, d 1.291, I 12; (2 2 10), 2θ = 73.5°, d 1.289, I 12

Structural model:
Unit cell a=4.241 b=5.774 c=19.632 alpha=90.00 beta=90.00 gamma=90.00
Space group Immm (No. 71)
One atom of each set of equivalent atoms:
Pa  0.000  0.000  0.000 (multiplicity 2)
Pa  0.000  0.000  0.200 (multiplicity 4)
Pa  0.000  0.000  0.399 (multiplicity 4)
Ge  0.000  0.500  0.000 (multiplicity 2)
Se  0.000  0.500  0.201 (multiplicity 4)
Se  0.000  0.500  0.400 (multiplicity 4)

5.
Structure and simulated powder XRD pattern of MgPaSe2N (the GGA-PBE geometry in Alexandria; Cu Kα (weighted mean of Kα1 and Kα2)).

Largest 10 diffraction maxima, by angle, 10° ≤ 2θ ≤ 90°:
(1 0 2), 2θ = 26.7°, d 3.333, I 15; (0 0 4), 2θ = 26.9°, d 3.319, I 17; (1 0 3), 2θ = 30.8°, d 2.907, I 100; (1 1 0), 2θ = 32.9°, d 2.725, I 69; (1 0 4), 2θ = 35.7°, d 2.515, I 39; (1 1 4), 2θ = 42.9°, d 2.106, I 24; (2 0 0), 2θ = 47.2°, d 1.927, I 29; (1 0 7), 2θ = 53.9°, d 1.702, I 19; (2 1 3), 2θ = 57.4°, d 1.606, I 35; (2 1 4), 2θ = 60.5°, d 1.530, I 17

Structural model:
Unit cell a=3.854 b=3.854 c=13.277 alpha=90.00 beta=90.00 gamma=90.00
Space group P4/nmm (No. 129, origin choice 2)
One atom of each set of equivalent atoms:
Mg  0.250  0.250  0.092 (multiplicity 2)
Pa  0.250  0.250  0.593 (multiplicity 2)
Se  0.250  0.250  0.302 (multiplicity 2)
Se  0.250  0.250  0.889 (multiplicity 2)
N  0.250  0.750  0.500 (multiplicity 2)

6.
Structure and simulated powder XRD pattern of CdSe (the GGA-PBE geometry in Alexandria; Cu Kα (weighted mean of Kα1 and Kα2)).

Largest 10 diffraction maxima, by angle, 10° ≤ 2θ ≤ 90°:
(1 1 0), 2θ = 23.4°, d 3.796, I 100; (0 0 2), 2θ = 24.9°, d 3.579, I 60; (0 2 1), 2θ = 26.6°, d 3.354, I 76; (1 1 2), 2θ = 34.4°, d 2.604, I 38; (2 0 0), 2θ = 41.2°, d 2.192, I 89; (1 1 3), 2θ = 44.9°, d 2.020, I 88; (2 0 2), 2θ = 48.7°, d 1.869, I 56; (2 2 3), 2θ = 62.5°, d 1.485, I 32; (1 1 5), 2θ = 70.3°, d 1.339, I 23; (1 5 3), 2θ = 77.7°, d 1.230, I 34

Structural model:
Unit cell a=4.387 b=7.587 c=7.157 alpha=90.00 beta=90.00 gamma=90.00
Space group Cmc2_1 (No. 36)
One atom of each set of equivalent atoms:
Cd  0.000  0.166  0.000 (multiplicity 4)
Se  0.000  0.168  0.624 (multiplicity 4)